Starting from a GGA-PBE-relaxed structure, the XRD peak list of Hf3Zn3CuNi2 was calculated for Cu Kα X-rays.
No peak broadening, texture or thermal motion is included.

Principal peaks in the range 2θ from 5° to 70°, by angle:
2θ (°)	I/Imax	hkl
37.19	100	1 1 1
40.12	43	2 1 0
40.27	82	2 0 1
45.77	25	3 0 0
55.73	23	3 1 0
62.58	30	3 1 1

Atomic structure:
```
Hf3Zn3CuNi2
1.0
6.867 0.000 0.000
-3.433 5.947 0.000
0.000 0.000 3.404
Hf Zn Cu Ni
3 3 1 2
Cartesian
-2.017 3.494 0.000 Hf
1.416 2.453 0.000 Hf
4.035 0.000 0.000 Hf
-0.895 1.550 1.702 Zn
1.790 0.000 1.702 Zn
2.539 4.397 1.702 Zn
0.000 0.000 0.000 Cu
0.000 3.965 1.702 Ni
3.433 1.982 1.702 Ni
```